# 1
For LaY3Tm7, a structure optimized by DFT (PBE) gives the calculated X-ray diffraction stick pattern in this record (Cu Kα X-rays).
No peak broadening, texture or thermal motion is included.

Cell and atoms:
```
LaY3Tm7
1.0
6.930 0.000 0.000
0.000 5.514 0.000
-3.279 0.000 9.279
La Y Tm
1 3 7
Direct
0.000 0.000 0.000
0.276 0.500 0.495
0.500 0.000 0.000
0.724 0.500 0.505
0.000 0.000 0.500
0.148 0.500 0.791
0.326 0.500 0.144
0.427 0.000 0.332
0.573 0.000 0.668
0.674 0.500 0.856
0.852 0.500 0.209
```

Main lines, by intensity (10° ≤ 2θ ≤ 80°):
hkl 0 2 0, 32.5°, rel. 100
hkl 2 1 0, 31.9°, rel. 94
hkl 0 1 3, 33.2°, rel. 75
hkl 2 1 -2, 32.2°, rel. 63
hkl 1 1 2, 31.6°, rel. 45
hkl 1 1 -3, 32.0°, rel. 42
hkl 2 0 -1, 25.7°, rel. 34
hkl 0 3 3, 58.4°, rel. 26

# 2
For LaY7Tm3, a structure optimized by DFT (PBE) gives the calculated X-ray diffraction stick pattern in this record (Cu Kα X-rays).
No peak broadening, texture or thermal motion is included.

Cell and atoms:
```
LaY7Tm3
1.0
6.914 0.000 0.000
0.000 5.577 0.000
-3.122 0.000 9.406
La Y Tm
1 7 3
Direct
0.000 0.000 0.000
0.000 0.000 0.500
0.147 0.500 0.788
0.327 0.500 0.141
0.431 0.000 0.333
0.569 0.000 0.667
0.673 0.500 0.859
0.853 0.500 0.212
0.274 0.500 0.493
0.500 0.000 0.000
0.726 0.500 0.507
```

Main lines, by intensity (10° ≤ 2θ ≤ 80°):
hkl 2 1 0, 31.6°, rel. 100
hkl 0 1 3, 32.8°, rel. 95
hkl 2 1 -2, 32.2°, rel. 63
hkl 0 2 0, 32.1°, rel. 60
hkl 0 0 2, 18.9°, rel. 26
hkl 0 1 1, 18.5°, rel. 25
hkl 1 1 -3, 31.8°, rel. 25
hkl 2 1 4, 57.3°, rel. 24